(1)
Computed X-ray powder pattern of B5C7 for Cu Kα (weighted mean of Kα1 and Kα2), from the PBE geometry in Alexandria.

Most intense lines, 2θ from 5° to 70°, in order of rising 2θ:
5.029 Å, rel. 17, (0 0 1); 4.059 Å, rel. 10, (0 1 0); 3.799 Å, rel. 27, (0 1 1); 2.246 Å, rel. 89, (1 -1 0); 2.146 Å, rel. 100, (1 1 2); 2.141 Å, rel. 100, (1 0 -2); 2.107 Å, rel. 95, (1 2 0); 1.353 Å, rel. 25, (0 3 0); 1.346 Å, rel. 27, (-2 1 2); 1.344 Å, rel. 26, (2 0 2)

Cell and atoms:
Lattice parameters (Å, degrees): 3.6550 4.5527 5.3003 72.70 89.89 69.98
Space group P1 (No. 1)
Symmetry-distinct sites (fractional):
1 B 0.0000 0.0000 0.0000
2 B 0.0079 0.9823 0.5685
3 B 0.3042 0.3055 0.7024
4 B 0.6373 0.6490 0.3756
5 B 0.6936 0.0808 0.2596
6 C 0.0214 0.3545 0.9660
7 C 0.0392 0.3378 0.4266
8 C 0.2755 0.3654 0.1899
9 C 0.3860 0.6763 0.1102
10 C 0.3961 0.6605 0.6302
11 C 0.6358 0.6620 0.8718
12 C 0.7043 0.9861 0.7874



(2)
Computed X-ray powder pattern of B5C7 for Cu Kα (weighted mean of Kα1 and Kα2), from the PBE geometry in Alexandria.

Most intense lines, 2θ from 5° to 70°, in order of rising 2θ:
3.596 Å, rel. 10, (1 0 0); 3.566 Å, rel. 24, (1 -1 0); 2.240 Å, rel. 95, (1 0 -2); 2.234 Å, rel. 100, (1 -1 2); 2.095 Å, rel. 5, (2 -1 0); 2.024 Å, rel. 90, (1 1 0); 2.007 Å, rel. 84, (1 -2 0); 1.798 Å, rel. 5, (2 0 0); 1.597 Å, rel. 5, (-2 1 2); 1.593 Å, rel. 3, (2 -2 2)

Cell and atoms:
Lattice parameters (Å, degrees): 4.1899 4.2296 5.2922 108.20 90.18 119.10
Space group P1 (No. 1)
Symmetry-distinct sites (fractional):
1 B 0.0000 0.0000 0.0000
2 B 0.0226 0.0141 0.5006
3 B 0.1985 0.7101 0.9260
4 B 0.4939 0.3188 0.0794
5 B 0.5363 0.3680 0.5846
6 C 0.1850 0.7021 0.4196
7 C 0.3744 0.6680 0.6556
8 C 0.3816 0.6659 0.1731
9 C 0.7433 0.3689 0.8419
10 C 0.7621 0.3654 0.3389
11 C 0.7882 0.0054 0.2517
12 C 0.7940 0.0155 0.7464



(3)
Computed X-ray powder pattern of B5C7 for Cu Kα (weighted mean of Kα1 and Kα2), from the PBE geometry in Alexandria.

Most intense lines, 2θ from 5° to 70°, in order of rising 2θ:
7.875 Å, rel. 100, (0 0 1); 3.937 Å, rel. 17, (0 0 2); 2.625 Å, rel. 4, (0 0 3); 2.248 Å, rel. 1, (2 0 -1); 2.231 Å, rel. 15, (1 1 -1); 2.222 Å, rel. 8, (2 0 1); 2.008 Å, rel. 5, (1 1 -2); 1.987 Å, rel. 2, (2 0 2); 1.969 Å, rel. 9, (0 0 4)

Cell and atoms:
Lattice parameters (Å, degrees): 4.6630 2.6732 7.8767 90.00 91.24 90.00
Space group Pm (No. 6)
Symmetry-distinct sites (fractional):
1 B 0.0000 0.0000 0.0000
2 B 0.0094 0.0000 0.5287
3 B 0.4983 0.5000 0.0019
4 B 0.5126 0.5000 0.5344
5 B 0.6713 0.0000 0.3060
6 C 0.1719 0.5000 0.2951
7 C 0.1770 0.5000 0.4981
8 C 0.3327 0.0000 0.0251
9 C 0.3342 0.0000 0.2312
10 C 0.6781 0.0000 0.5229
11 C 0.8330 0.5000 0.0265
12 C 0.8533 0.5000 0.2279



(4)
Computed X-ray powder pattern of B3C for Cu Kα (weighted mean of Kα1 and Kα2), from the PBE geometry in Alexandria.

Most intense lines, 2θ from 5° to 70°, in order of rising 2θ:
4.256 Å, rel. 26, (0 0 1); 2.665 Å, rel. 1, (1 0 0); 2.259 Å, rel. 100, (1 0 1); 2.128 Å, rel. 2, (0 0 2); 1.723 Å, rel. 1, (1 1 1); 1.663 Å, rel. 6, (1 0 2); 1.419 Å, rel. 1, (0 0 3); 1.411 Å, rel. 25, (1 1 2)

Cell and atoms:
Lattice parameters (Å, degrees): 2.6654 2.6654 4.2563 90.00 90.00 90.00
Space group P-4m2 (No. 115)
Symmetry-distinct sites (fractional):
1 B 0.0000 0.0000 0.0000
2 B 0.0000 0.5000 0.3083
3 C 0.5000 0.5000 0.5000